[1]
The following is a theoretical powder diffraction line list of VPO5. It was derived from the GGA+U geometry in the Materials Project, using Cu Kα X-rays.

Atomic structure:
Cell lengths 5.1829, 5.1829, 7.5100 Å; angles 105.26, 105.26, 97.11 degrees
Fractional coordinates of all 14 atoms:
1 V 0.2313 0.7687 0.5000
2 V 0.7687 0.2313 0.0000
3 P 0.6348 0.7850 0.2117
4 P 0.7850 0.6348 0.7117
5 O 0.0446 0.3420 0.1821
6 O 0.3420 0.0446 0.6821
7 O 0.4546 0.8422 0.3444
8 O 0.4766 0.5541 0.5902
9 O 0.5541 0.4766 0.0902
10 O 0.5771 0.9584 0.0713
11 O 0.8422 0.4546 0.8444
12 O 0.8671 0.9419 0.8274
13 O 0.9419 0.8671 0.3274
14 O 0.9584 0.5771 0.5713

Largest 10 diffraction maxima, by angle, 15° ≤ 2θ ≤ 90°:
2θ 18.14, intensity 59
2θ 18.72, intensity 69
2θ 25.38, intensity 100
2θ 26.33, intensity 34
2θ 26.65, intensity 25
2θ 29.88, intensity 41
2θ 34.80, intensity 28
2θ 37.83, intensity 17
2θ 42.58, intensity 14
2θ 42.89, intensity 15

=====

[2]
The following is a theoretical powder diffraction line list of MgMn2H2O4. It was derived from the GGA+U geometry in the Materials Project, using Cu Kα X-rays.

Atomic structure:
Cell lengths 5.2102, 3.1369, 6.3366 Å; angles 90.00, 98.84, 90.00 degrees
Fractional coordinates of all 9 atoms:
1 Mg 0.0000 0.0000 0.0000
2 Mn 0.3663 0.5000 0.7059
3 Mn 0.8619 0.0000 0.3961
4 H 0.4132 0.5000 0.3179
5 H 0.7274 0.0000 0.7336
6 O 0.0379 0.5000 0.1988
7 O 0.0896 0.0000 0.7021
8 O 0.5713 0.5000 0.4282
9 O 0.6257 0.0000 0.8534

Largest 10 diffraction maxima, by angle, 15° ≤ 2θ ≤ 90°:
2θ 20.58, intensity 38
2θ 24.01, intensity 87
2θ 31.07, intensity 60
2θ 33.45, intensity 100
2θ 40.72, intensity 40
2θ 46.20, intensity 30
2θ 49.70, intensity 42
2θ 51.40, intensity 29
2θ 53.45, intensity 23
2θ 58.17, intensity 26